(1)
Starting from the PBE geometry in Alexandria, the X-ray diffraction stick pattern of Li5Sb2 was simulated for a wavelength of 1.5418 Å.

Principal peaks in the range 5 to 70 degrees two-theta, most intense first:
two_theta	d [Å]	intensity
23.87	3.728	100
44.05	2.056	20
25.56	3.485	20
37.50	2.399	19
45.81	1.981	18
26.97	3.306	18
39.94	2.257	16
40.90	2.206	15
30.17	2.962	14
48.86	1.864	13

Cell and atoms:
```
data_Li5Sb2
_symmetry_space_group_name_H-M 'I b a m'
_symmetry_Int_Tables_number 72
_symmetry_space_group_name_Hall '-I 2 2c'
_cell_length_a 6.970
_cell_length_b 13.225
_cell_length_c 5.925
_cell_angle_alpha 90.00
_cell_angle_beta 90.00
_cell_angle_gamma 90.00
loop_
_atom_site_label
_atom_site_type_symbol
_atom_site_fract_x
_atom_site_fract_y
_atom_site_fract_z
Li1 Li 0.000 0.000 0.250
Li2 Li 0.000 0.240 0.250
Li3 Li 0.159 0.413 0.000
Sb1 Sb 0.242 0.376 0.500
```

=====

(2)
Starting from the PBE geometry in Alexandria, the X-ray diffraction stick pattern of Ca2Mg3Cd3 was simulated for a wavelength of 1.5418 Å.

Principal peaks in the range 5 to 70 degrees two-theta, most intense first:
two_theta	d [Å]	intensity
34.52	2.598	100
24.22	3.674	26
61.82	1.501	25
49.62	1.837	17
55.96	1.643	10
20.94	4.242	8
61.95	1.498	8
20.02	4.435	7
10.44	8.471	6
42.60	2.122	6

Cell and atoms:
```
data_Ca2Mg3Cd3
_symmetry_space_group_name_H-M 'R 3 m'
_symmetry_Int_Tables_number 160
_symmetry_space_group_name_Hall 'R 3 -2"'
_cell_length_a 5.2004
_cell_length_b 5.2004
_cell_length_c 25.4119
_cell_angle_alpha 90.00
_cell_angle_beta 90.00
_cell_angle_gamma 120.00
loop_
_atom_site_label
_atom_site_type_symbol
_atom_site_fract_x
_atom_site_fract_y
_atom_site_fract_z
Ca1 Ca 0.0000 0.0000 0.0000
Ca2 Ca 0.0000 0.0000 0.4942
Mg1 Mg 0.0000 0.0000 0.2459
Mg2 Mg 0.0000 0.0000 0.6213
Mg3 Mg 0.0000 0.0000 0.7477
Cd1 Cd 0.0000 0.0000 0.1236
Cd2 Cd 0.0000 0.0000 0.3680
Cd3 Cd 0.0000 0.0000 0.8751
```

=====

(3)
Starting from the PBE geometry in Alexandria, the X-ray diffraction stick pattern of DyCu6Sn6 was simulated for a wavelength of 1.5418 Å.

Principal peaks in the range 5 to 70 degrees two-theta, most intense first:
two_theta	d [Å]	intensity
37.68	2.387	100
31.82	2.812	96
42.32	2.136	57
37.88	2.375	49
32.06	2.792	47
39.92	2.258	38
37.09	2.424	38
66.50	1.406	35
38.66	2.329	31
31.08	2.877	30

Cell and atoms:
```
data_DyCu6Sn6
_symmetry_space_group_name_H-M 'I m m m'
_symmetry_Int_Tables_number 71
_symmetry_space_group_name_Hall '-I 2 2'
_cell_length_a 5.584
_cell_length_b 9.033
_cell_length_c 9.764
_cell_angle_alpha 90.00
_cell_angle_beta 90.00
_cell_angle_gamma 90.00
loop_
_atom_site_label
_atom_site_type_symbol
_atom_site_fract_x
_atom_site_fract_y
_atom_site_fract_z
Dy1 Dy 0.000 0.000 0.000
Cu1 Cu 0.000 0.249 0.500
Cu2 Cu 0.250 0.250 0.250
Sn1 Sn 0.000 0.000 0.332
Sn2 Sn 0.000 0.339 0.000
Sn3 Sn 0.000 0.500 0.336
```

=====

(4)
Starting from the PBE geometry in Alexandria, the X-ray diffraction stick pattern of Tb3SmAs4 was simulated for a wavelength of 1.5418 Å.

Principal peaks in the range 5 to 70 degrees two-theta, most intense first:
two_theta	d [Å]	intensity
30.42	2.939	100
43.55	2.078	75
54.05	1.697	26
26.26	3.393	21
63.29	1.469	12
51.57	1.772	11
69.74	1.348	4

Cell and atoms:
```
data_Tb3SmAs4
_symmetry_space_group_name_H-M 'P m -3 m'
_symmetry_Int_Tables_number 221
_symmetry_space_group_name_Hall '-P 4 2 3'
_cell_length_a 5.877
_cell_length_b 5.877
_cell_length_c 5.877
_cell_angle_alpha 90.00
_cell_angle_beta 90.00
_cell_angle_gamma 90.00
loop_
_atom_site_label
_atom_site_type_symbol
_atom_site_fract_x
_atom_site_fract_y
_atom_site_fract_z
Tb1 Tb 0.000 0.000 0.500
Sm1 Sm 0.500 0.500 0.500
As1 As 0.000 0.000 0.000
As2 As 0.000 0.500 0.500
```

=====

(5)
Starting from the PBE geometry in Alexandria, the X-ray diffraction stick pattern of Ba6Na16N was simulated for a wavelength of 1.5418 Å.

Principal peaks in the range 5 to 70 degrees two-theta, most intense first:
two_theta	d [Å]	intensity
10.11	8.747	100
26.97	3.306	85
24.93	3.571	81
30.66	2.916	54
28.87	3.093	43
48.83	1.865	41
47.64	1.909	30
33.99	2.637	28
41.28	2.187	27
58.77	1.571	27

Cell and atoms:
```
data_Ba6Na16N
_symmetry_space_group_name_H-M 'I m -3 m'
_symmetry_Int_Tables_number 229
_symmetry_space_group_name_Hall '-I 4 2 3'
_cell_length_a 12.370
_cell_length_b 12.370
_cell_length_c 12.370
_cell_angle_alpha 90.00
_cell_angle_beta 90.00
_cell_angle_gamma 90.00
loop_
_atom_site_label
_atom_site_type_symbol
_atom_site_fract_x
_atom_site_fract_y
_atom_site_fract_z
Ba1 Ba 0.000 0.000 0.230
Na1 Na 0.000 0.345 0.345
Na2 Na 0.250 0.250 0.250
N1 N 0.000 0.000 0.000
```

=====

(6)
Starting from the PBE geometry in Alexandria, the X-ray diffraction stick pattern of Na4LiSn3S8 was simulated for a wavelength of 1.5418 Å.

Principal peaks in the range 5 to 70 degrees two-theta, most intense first:
two_theta	d [Å]	intensity
32.42	2.762	100
13.19	6.711	56
45.30	2.002	35
47.68	1.907	33
58.84	1.569	19
14.11	6.278	19
27.36	3.260	18
41.63	2.169	14
16.04	5.524	14
49.69	1.835	12

Cell and atoms:
```
data_Na4LiSn3S8
_symmetry_space_group_name_H-M 'R -3 m'
_symmetry_Int_Tables_number 166
_symmetry_space_group_name_Hall '-R 3 2"'
_cell_length_a 7.6299
_cell_length_b 7.6299
_cell_length_c 20.1330
_cell_angle_alpha 90.00
_cell_angle_beta 90.00
_cell_angle_gamma 120.00
loop_
_atom_site_label
_atom_site_type_symbol
_atom_site_fract_x
_atom_site_fract_y
_atom_site_fract_z
Na1 Na 0.0000 0.0000 0.0000
Na2 Na 0.0000 0.5000 0.0000
Li1 Li 0.0000 0.0000 0.5000
Sn1 Sn 0.0000 0.5000 0.5000
S1 S 0.0000 0.0000 0.2430
S2 S 0.0038 0.5019 0.7615
```

=====

(7)
Starting from the PBE geometry in Alexandria, the X-ray diffraction stick pattern of Ca2Nd2Zn3 was simulated for a wavelength of 1.5418 Å.

Principal peaks in the range 5 to 70 degrees two-theta, most intense first:
two_theta	d [Å]	intensity
34.78	2.580	100
34.59	2.593	98
10.42	8.492	72
62.22	1.492	34
49.86	1.829	34
26.53	3.359	27
36.40	2.468	23
24.33	3.658	19
62.34	1.489	17
61.86	1.500	16

Cell and atoms:
```
data_Ca2Nd2Zn3
_symmetry_space_group_name_H-M 'R -3 m'
_symmetry_Int_Tables_number 166
_symmetry_space_group_name_Hall '-R 3 2"'
_cell_length_a 5.1594
_cell_length_b 5.1594
_cell_length_c 25.4757
_cell_angle_alpha 90.00
_cell_angle_beta 90.00
_cell_angle_gamma 120.00
loop_
_atom_site_label
_atom_site_type_symbol
_atom_site_fract_x
_atom_site_fract_y
_atom_site_fract_z
Ca1 Ca 0.0000 0.0000 0.1271
Nd1 Nd 0.0000 0.0000 0.3784
Zn1 Zn 0.0000 0.0000 0.0000
Zn2 Zn 0.0000 0.0000 0.2552
```

=====

(8)
Starting from the PBE geometry in Alexandria, the X-ray diffraction stick pattern of CaTi2OsF was simulated for a wavelength of 1.5418 Å.

Principal peaks in the range 5 to 70 degrees two-theta, most intense first:
two_theta	d [Å]	intensity
34.53	2.597	100
29.44	3.034	98
35.71	2.514	80
46.94	1.936	55
17.64	5.028	55
25.04	3.556	40
51.39	1.778	35
63.40	1.467	33
61.10	1.517	31
47.83	1.902	17

Cell and atoms:
```
data_CaTi2OsF
_symmetry_space_group_name_H-M 'P 4/m m m'
_symmetry_Int_Tables_number 123
_symmetry_space_group_name_Hall '-P 4 2'
_cell_length_a 5.028
_cell_length_b 5.028
_cell_length_c 3.804
_cell_angle_alpha 90.00
_cell_angle_beta 90.00
_cell_angle_gamma 90.00
loop_
_atom_site_label
_atom_site_type_symbol
_atom_site_fract_x
_atom_site_fract_y
_atom_site_fract_z
Ca1 Ca 0.000 0.000 0.000
Ti1 Ti 0.000 0.500 0.000
Os1 Os 0.500 0.500 0.500
F1 F 0.000 0.000 0.500
```